# 1
Ag3SnBr6: simulated X-ray diffraction stick pattern (CuKα), based on a crystal structure in Alexandria, relaxed with GGA-PBE.
Intensities are scaled so that the largest is 100.

Principal peaks in the range 10° ≤ 2θ ≤ 90°, most intense first:
2θ = 31.64°, I = 100
2θ = 15.66°, I = 72
2θ = 45.25°, I = 35
2θ = 45.45°, I = 34
2θ = 13.57°, I = 31
2θ = 26.08°, I = 23
2θ = 35.43°, I = 19
2θ = 35.55°, I = 18
2θ = 56.26°, I = 18
2θ = 48.20°, I = 11

Cell and atoms:
```
Ag3SnBr6
1.0
7.980 0.000 0.000
3.950 6.937 0.000
3.966 2.304 6.539
Ag Sn Br
3 1 6
Cartesian
0.000 0.000 0.000
3.958 4.620 3.269
5.973 1.152 3.269
7.948 4.620 3.269
5.801 5.706 1.765
6.086 3.537 5.095
8.090 7.011 4.791
7.806 2.229 1.748
9.810 5.704 1.443
10.096 3.535 4.774
```

# 2
Ag5SnBr12: simulated X-ray diffraction stick pattern (CuKα), based on a crystal structure in Alexandria, relaxed with GGA-PBE.
Intensities are scaled so that the largest is 100.

Principal peaks in the range 10° ≤ 2θ ≤ 90°, most intense first:
2θ = 13.00°, I = 100
2θ = 28.58°, I = 44
2θ = 27.98°, I = 36
2θ = 45.49°, I = 31
2θ = 31.53°, I = 30
2θ = 32.34°, I = 25
2θ = 46.07°, I = 23
2θ = 36.27°, I = 20
2θ = 43.42°, I = 19
2θ = 41.21°, I = 19

Cell and atoms:
```
Ag5SnBr12
1.0
3.431 -6.252 0.000
3.431 6.252 0.000
-0.663 0.000 13.622
Ag Sn Br
5 1 12
Cartesian
0.000 0.000 0.000
3.100 4.141 6.811
3.431 2.085 0.000
3.431 -2.085 0.000
3.100 -4.141 6.811
3.100 0.000 6.811
0.670 2.087 12.092
2.007 1.893 5.264
0.984 0.000 8.393
2.095 0.000 1.522
0.670 -2.087 12.092
2.007 -1.893 5.264
4.192 1.893 8.358
5.529 2.087 1.530
4.105 0.000 12.100
5.216 0.000 5.229
4.192 -1.893 8.358
5.529 -2.087 1.530
```

# 3
Ag2SnBr5: simulated X-ray diffraction stick pattern (CuKα), based on a crystal structure in Alexandria, relaxed with GGA-PBE.
Intensities are scaled so that the largest is 100.

Principal peaks in the range 10° ≤ 2θ ≤ 90°, most intense first:
2θ = 13.06°, I = 100
2θ = 32.12°, I = 84
2θ = 30.43°, I = 61
2θ = 50.98°, I = 40
2θ = 37.91°, I = 37
2θ = 49.36°, I = 34
2θ = 29.94°, I = 31
2θ = 25.75°, I = 25
2θ = 43.21°, I = 23
2θ = 33.23°, I = 22

Cell and atoms:
```
Ag2SnBr5
1.0
0.000 6.648 6.781
2.938 0.000 6.781
2.938 6.648 0.000
Ag Sn Br
2 1 5
Cartesian
2.938 2.769 6.781
2.938 10.526 6.781
2.938 6.648 6.781
0.000 0.000 0.000
2.938 4.668 4.850
2.938 4.668 8.712
2.938 8.627 4.850
2.938 8.627 8.712
```

# 4
Ag2SnBr6: simulated X-ray diffraction stick pattern (CuKα), based on a crystal structure in Alexandria, relaxed with GGA-PBE.
Intensities are scaled so that the largest is 100.

Principal peaks in the range 10° ≤ 2θ ≤ 90°, most intense first:
2θ = 17.14°, I = 100
2θ = 25.41°, I = 46
2θ = 32.66°, I = 46
2θ = 24.54°, I = 40
2θ = 42.46°, I = 28
2θ = 17.89°, I = 27
2θ = 29.29°, I = 26
2θ = 36.78°, I = 21
2θ = 26.18°, I = 18
2θ = 40.93°, I = 18

Cell and atoms:
```
Ag2SnBr6
1.0
8.404 -6.899 0.000
8.404 6.899 0.000
-2.545 0.000 6.446
Ag Sn Br
4 2 12
Cartesian
2.656 0.023 2.570
1.383 -0.023 5.793
12.880 0.023 0.653
11.607 -0.023 3.876
6.495 2.959 4.835
7.768 -2.959 1.612
3.258 1.803 0.920
6.041 4.383 2.848
9.494 4.383 0.375
4.538 1.477 5.288
1.986 -1.803 4.143
8.452 1.477 4.381
5.810 -1.477 2.065
12.277 1.803 2.303
9.725 -1.477 1.158
4.769 -4.383 6.071
8.222 -4.383 3.598
11.005 -1.803 5.526
```

# 5
TbAgSnBr6: simulated X-ray diffraction stick pattern (CuKα), based on a crystal structure in Alexandria, relaxed with GGA-PBE.
Intensities are scaled so that the largest is 100.

Principal peaks in the range 10° ≤ 2θ ≤ 90°, most intense first:
2θ = 28.15°, I = 100
2θ = 36.75°, I = 99
2θ = 19.49°, I = 80
2θ = 43.47°, I = 58
2θ = 40.55°, I = 26
2θ = 58.20°, I = 25
2θ = 72.76°, I = 25
2θ = 31.65°, I = 24
2θ = 75.36°, I = 24
2θ = 48.16°, I = 23

Cell and atoms:
```
TbAgSnBr6
1.0
7.211 0.000 0.000
-3.606 6.245 0.000
0.000 0.000 13.312
Tb Ag Sn Br
2 2 2 12
Cartesian
0.000 4.163 3.328
3.606 2.082 9.984
0.000 4.163 9.984
3.606 2.082 3.328
0.000 0.000 0.000
0.000 0.000 6.656
-1.209 2.185 1.699
-2.318 4.106 4.957
1.209 2.185 4.957
-1.109 6.200 1.699
2.496 0.045 8.355
1.288 2.139 11.613
2.318 4.106 1.699
1.109 6.200 4.957
4.715 0.045 11.613
2.397 4.060 8.355
5.924 2.139 8.355
4.814 4.060 11.613
```

# 6
Ag5SnTe4Br2: simulated X-ray diffraction stick pattern (CuKα), based on a crystal structure in Alexandria, relaxed with GGA-PBE.
Intensities are scaled so that the largest is 100.

Principal peaks in the range 10° ≤ 2θ ≤ 90°, most intense first:
2θ = 25.86°, I = 100
2θ = 24.56°, I = 96
2θ = 36.86°, I = 92
2θ = 43.26°, I = 53
2θ = 45.52°, I = 30
2θ = 42.90°, I = 26
2θ = 42.05°, I = 25
2θ = 50.05°, I = 24
2θ = 68.22°, I = 23
2θ = 64.34°, I = 22

Cell and atoms:
```
Ag5SnTe4Br2
1.0
8.433 0.000 0.000
0.000 6.446 3.374
0.000 -6.446 3.374
Ag Sn Te Br
5 1 4 2
Cartesian
0.000 0.000 0.000
2.245 -2.354 3.474
2.245 2.354 3.474
6.188 -2.354 3.474
6.188 2.354 3.474
4.216 0.000 0.450
1.931 0.000 2.032
4.216 -4.065 2.277
4.216 4.065 2.277
6.501 0.000 2.032
0.000 -2.247 5.163
0.000 2.247 5.163
```

# 7
YAg2SnBr: simulated X-ray diffraction stick pattern (CuKα), based on a crystal structure in Alexandria, relaxed with GGA-PBE.
Intensities are scaled so that the largest is 100.

Principal peaks in the range 10° ≤ 2θ ≤ 90°, most intense first:
2θ = 28.04°, I = 100
2θ = 31.76°, I = 85
2θ = 47.13°, I = 56
2θ = 33.89°, I = 36
2θ = 45.54°, I = 31
2θ = 54.33°, I = 31
2θ = 57.96°, I = 30
2θ = 23.06°, I = 24
2θ = 85.34°, I = 20
2θ = 75.46°, I = 14

Cell and atoms:
```
YAg2SnBr
1.0
5.634 0.000 0.000
0.000 5.634 0.000
0.000 0.000 5.291
Y Ag Sn Br
1 2 1 1
Cartesian
0.000 0.000 0.000
0.000 2.817 0.000
2.817 0.000 0.000
2.817 2.817 2.645
0.000 0.000 2.645
```

# 8
SrAg7Br12: simulated X-ray diffraction stick pattern (CuKα), based on a crystal structure in Alexandria, relaxed with GGA-PBE.
Intensities are scaled so that the largest is 100.

Principal peaks in the range 10° ≤ 2θ ≤ 90°, most intense first:
2θ = 42.53°, I = 100
2θ = 24.17°, I = 67
2θ = 34.45°, I = 56
2θ = 27.08°, I = 55
2θ = 32.16°, I = 42
2θ = 77.82°, I = 41
2θ = 51.14°, I = 34
2θ = 67.28°, I = 27
2θ = 55.83°, I = 20
2θ = 49.51°, I = 18

Cell and atoms:
```
SrAg7Br12
1.0
-5.207 5.207 5.207
5.207 -5.207 5.207
5.207 5.207 -5.207
Sr Ag Br
1 7 12
Cartesian
0.000 0.000 0.000
2.604 2.604 -2.604
2.604 -2.604 2.604
5.207 0.000 0.000
-2.604 2.604 2.604
0.000 5.207 0.000
0.000 0.000 5.207
2.604 2.604 2.604
5.207 3.411 -2.075
3.132 0.000 1.796
7.282 0.000 1.796
1.796 3.132 0.000
3.411 -2.075 5.207
0.000 1.796 3.132
5.207 3.411 2.075
1.796 7.282 0.000
3.411 2.075 5.207
-2.075 5.207 3.411
2.075 5.207 3.411
0.000 1.796 7.282
```

# 9
SrAg3Br6: simulated X-ray diffraction stick pattern (CuKα), based on a crystal structure in Alexandria, relaxed with GGA-PBE.
Intensities are scaled so that the largest is 100.

Principal peaks in the range 10° ≤ 2θ ≤ 90°, most intense first:
2θ = 37.13°, I = 100
2θ = 23.27°, I = 56
2θ = 21.99°, I = 43
2θ = 39.49°, I = 27
2θ = 43.55°, I = 26
2θ = 22.37°, I = 22
2θ = 36.27°, I = 17
2θ = 33.24°, I = 15
2θ = 70.08°, I = 15
2θ = 42.87°, I = 14

Cell and atoms:
```
SrAg3Br6
1.0
4.953 -6.995 0.000
4.953 6.995 0.000
0.000 0.000 4.563
Sr Ag Br
1 3 6
Cartesian
0.000 0.000 0.000
2.477 3.497 2.282
2.477 -3.497 2.282
4.953 0.000 0.000
4.953 4.906 2.282
3.012 1.775 0.000
3.012 -1.775 0.000
6.895 1.775 0.000
6.895 -1.775 0.000
4.953 -4.906 2.282
```

# 10
SrAgBr2: simulated X-ray diffraction stick pattern (CuKα), based on a crystal structure in Alexandria, relaxed with GGA-PBE.
Intensities are scaled so that the largest is 100.

Principal peaks in the range 10° ≤ 2θ ≤ 90°, most intense first:
2θ = 29.77°, I = 100
2θ = 36.25°, I = 78
2θ = 28.72°, I = 37
2θ = 41.19°, I = 23
2θ = 41.39°, I = 23
2θ = 59.82°, I = 15
2θ = 50.99°, I = 15
2θ = 51.16°, I = 14
2θ = 67.69°, I = 12
2θ = 41.81°, I = 12

Cell and atoms:
```
SrAgBr2
1.0
4.363 0.000 0.000
0.000 4.383 0.000
-2.173 0.000 6.216
Sr Ag Br
1 1 2
Cartesian
0.000 0.000 0.000
-0.001 2.192 2.375
0.009 2.192 5.290
2.180 0.000 2.319
```

# 11
Sr2AgBr5: simulated X-ray diffraction stick pattern (CuKα), based on a crystal structure in Alexandria, relaxed with GGA-PBE.
Intensities are scaled so that the largest is 100.

Principal peaks in the range 10° ≤ 2θ ≤ 90°, most intense first:
2θ = 35.41°, I = 100
2θ = 34.63°, I = 95
2θ = 21.83°, I = 69
2θ = 20.84°, I = 55
2θ = 36.38°, I = 47
2θ = 33.07°, I = 47
2θ = 20.21°, I = 42
2θ = 34.94°, I = 31
2θ = 24.16°, I = 28
2θ = 22.99°, I = 26

Cell and atoms:
```
Sr2AgBr5
1.0
12.820 0.000 0.000
0.000 9.877 0.000
-0.637 0.000 9.123
Sr Ag Br
8 4 20
Cartesian
0.229 1.219 2.290
-0.089 3.720 6.852
4.012 1.561 8.766
4.330 3.377 4.205
7.852 6.500 4.919
8.171 8.316 0.357
12.272 6.157 2.271
11.953 8.658 6.833
3.337 6.046 8.894
3.655 8.770 4.333
8.527 1.107 4.791
8.846 3.832 0.229
0.484 6.427 8.661
0.802 8.388 4.099
0.815 0.988 8.229
1.133 3.950 3.667
3.260 0.939 2.418
2.942 3.999 6.980
4.698 0.820 5.896
5.017 4.119 1.334
4.802 6.417 4.500
4.484 8.399 9.061
7.699 1.478 0.062
7.380 3.461 4.624
7.166 5.758 7.789
7.484 9.058 3.227
9.241 5.878 2.143
8.922 8.938 6.705
11.050 5.927 5.456
11.368 8.889 0.894
11.380 1.489 5.024
11.699 3.450 0.462
```

# 12
Sr2Ag3Br8: simulated X-ray diffraction stick pattern (CuKα), based on a crystal structure in Alexandria, relaxed with GGA-PBE.
Intensities are scaled so that the largest is 100.

Principal peaks in the range 10° ≤ 2θ ≤ 90°, most intense first:
2θ = 33.48°, I = 100
2θ = 38.21°, I = 63
2θ = 42.39°, I = 60
2θ = 30.26°, I = 59
2θ = 24.32°, I = 47
2θ = 26.89°, I = 41
2θ = 18.69°, I = 31
2θ = 12.39°, I = 29
2θ = 45.47°, I = 27
2θ = 65.96°, I = 23

Cell and atoms:
```
Sr2Ag3Br8
1.0
7.408 -3.990 0.000
7.408 3.990 0.000
-2.016 0.000 7.319
Sr Ag Br
2 3 8
Cartesian
3.205 0.000 1.278
9.596 0.000 6.041
6.400 2.004 3.659
7.408 0.000 0.000
6.400 -2.004 3.659
0.836 0.000 3.281
5.521 1.942 0.606
7.279 1.942 6.713
4.574 0.000 4.117
8.227 0.000 3.201
5.521 -1.942 0.606
7.279 -1.942 6.713
11.965 0.000 4.038
```